(1)
The following is a calculated XRD peak list of Ac2Mg3Cd9. It was derived from a DFT-relaxed cell (GGA-PBE, Alexandria), using λ = 1.5418 Å (Cu Kα).

Most intense lines, 2θ from 10° to 90°, most intense first:
2theta, I (rel.), hkl
33.00, 100, 3 1 3
34.86, 60, 3 3 0
32.81, 42, 0 2 3
35.21, 26, 1 3 2
35.38, 25, 6 0 0
61.44, 19, 6 4 3
32.05, 18, 4 2 1
20.11, 18, 3 1 0
40.68, 17, 4 2 3
62.00, 17, 9 1 3

Structure:
abc: 15.2235 8.9603 10.3252
angles: 90.00 90.00 90.00
Space group Cmcm (No. 63)
Unique sites:
Ac (0.1587, 0.1644, 0.2500) (multiplicity 8)
Mg (0.0000, 0.0000, 0.0000) (multiplicity 4)
Mg (0.1831, 0.5000, 0.0000) (multiplicity 8)
Cd (0.0000, 0.1394, 0.7500) (multiplicity 4)
Cd (0.0000, 0.3345, 0.0409) (multiplicity 8)
Cd (0.0975, 0.4519, 0.7500) (multiplicity 8)
Cd (0.1625, 0.1794, 0.5884) (multiplicity 16)



(2)
The following is a calculated XRD peak list of PaTePd. It was derived from a DFT-relaxed cell (GGA-PBE, Alexandria), using λ = 1.5418 Å (Cu Kα).

Most intense lines, 2θ from 10° to 90°, most intense first:
2theta, I (rel.), hkl
36.29, 100, 1 0 3
34.23, 60, 1 1 0
62.63, 41, 2 1 3
49.18, 22, 2 0 0
66.58, 16, 1 1 6
25.65, 14, 1 0 1
77.04, 11, 2 0 6
82.29, 10, 3 1 0
83.49, 9, 3 0 3
17.77, 9, 0 0 2

Structure:
abc: 3.7051 3.7051 9.9831
angles: 90.00 90.00 90.00
Space group I4mm (No. 107)
Unique sites:
Pa (0.0000, 0.0000, 0.0000) (multiplicity 2)
Te (0.0000, 0.0000, 0.3210) (multiplicity 2)
Pd (0.0000, 0.0000, 0.6495) (multiplicity 2)



(3)
The following is a calculated XRD peak list of Sc4Sn3. It was derived from a DFT-relaxed cell (GGA-PBE, Alexandria), using λ = 1.5418 Å (Cu Kα).

Most intense lines, 2θ from 10° to 90°, most intense first:
2theta, I (rel.), hkl
32.34, 100, 3 1 0
38.48, 63, 3 2 1
24.92, 58, 2 1 1
65.76, 35, 6 1 1
46.39, 33, 4 2 0
80.66, 26, 7 2 1
53.37, 24, 4 3 1
48.80, 22, 3 3 2
69.61, 15, 5 4 1
51.12, 9, 4 2 2

Structure:
abc: 8.7535 8.7535 8.7535
angles: 90.00 90.00 90.00
Space group I-43d (No. 220)
Unique sites:
Sc (0.0737, 0.4263, 0.5737) (multiplicity 16)
Sn (0.0000, 0.2500, 0.8750) (multiplicity 12)



(4)
The following is a calculated XRD peak list of PrMgCu2. It was derived from a DFT-relaxed cell (GGA-PBE, Alexandria), using λ = 1.5418 Å (Cu Kα).

Most intense lines, 2θ from 10° to 90°, most intense first:
2theta, I (rel.), hkl
36.03, 100, 1 1 3
32.98, 56, 2 1 1
40.62, 36, 0 2 0
15.05, 31, 1 0 1
38.35, 28, 1 0 4
21.93, 21, 0 1 1
36.62, 21, 2 1 2
24.32, 20, 2 0 0
31.68, 19, 2 1 0
57.09, 17, 1 2 4

Structure:
abc: 7.3192 4.4418 9.9125
angles: 90.00 90.00 90.00
Space group Pnma (No. 62)
Unique sites:
Pr (0.1922, 0.2500, 0.1737) (multiplicity 4)
Mg (0.0407, 0.7500, 0.3991) (multiplicity 4)
Cu (0.0898, 0.2500, 0.8695) (multiplicity 4)
Cu (0.2113, 0.7500, 0.9645) (multiplicity 4)



(5)
The following is a calculated XRD peak list of Tm2Al3Tc. It was derived from a DFT-relaxed cell (GGA-PBE, Alexandria), using λ = 1.5418 Å (Cu Kα).

Most intense lines, 2θ from 10° to 90°, most intense first:
2theta, I (rel.), hkl
38.73, 100, 1 1 3
32.70, 93, 1 1 0
20.19, 44, 0 0 3
39.05, 40, 0 1 5
33.07, 36, 1 0 4
62.42, 25, 3 0 3
62.64, 20, 1 2 5
19.89, 19, 1 0 1
58.37, 18, 3 0 0
68.53, 17, 2 2 0

Structure:
abc: 5.4767 5.4767 13.1973
angles: 90.00 90.00 120.00
Space group R-3m (No. 166, hexagonal axes)
Unique sites:
Tm (0.0000, 0.0000, 0.1281) (multiplicity 6)
Al (0.0000, 0.5000, 0.0000) (multiplicity 9)
Tc (0.0000, 0.0000, 0.5000) (multiplicity 3)



(6)
The following is a calculated XRD peak list of La2SbAs3Pd4. It was derived from a DFT-relaxed cell (GGA-PBE, Alexandria), using λ = 1.5418 Å (Cu Kα).

Most intense lines, 2θ from 10° to 90°, most intense first:
2theta, I (rel.), hkl
33.17, 100, 1 1 2
40.50, 62, 2 0 0
32.54, 48, 1 0 3
52.89, 24, 2 1 3
69.04, 23, 3 1 2
44.96, 22, 1 1 4
47.90, 21, 1 0 5
58.62, 21, 2 2 0
64.48, 17, 2 1 5
85.98, 11, 2 0 8

Structure:
abc: 4.4542 4.4542 10.4986
angles: 90.00 90.00 90.00
Space group P-4m2 (No. 115)
Unique sites:
La (0.0000, 0.5000, 0.2347) (multiplicity 2)
Sb (0.0000, 0.0000, 0.5000) (multiplicity 1)
As (0.0000, 0.5000, 0.8725) (multiplicity 2)
As (0.5000, 0.5000, 0.5000) (multiplicity 1)
Pd (0.0000, 0.0000, 0.0000) (multiplicity 1)
Pd (0.0000, 0.5000, 0.6368) (multiplicity 2)
Pd (0.5000, 0.5000, 0.0000) (multiplicity 1)



(7)
The following is a calculated XRD peak list of SmDy15Tm4. It was derived from a DFT-relaxed cell (GGA-PBE, Alexandria), using λ = 1.5418 Å (Cu Kα).

Most intense lines, 2θ from 10° to 90°, most intense first:
2theta, I (rel.), hkl
30.99, 100, 1 1 5
35.93, 51, 2 0 0
61.53, 43, 3 1 5
51.73, 36, 2 2 0
84.49, 18, 3 3 5
87.22, 17, 4 2 0
64.59, 12, 2 2 10
76.19, 6, 4 0 0

Structure:
abc: 4.9987 4.9987 24.9884
angles: 90.00 90.00 90.00
Space group P4/mmm (No. 123)
Unique sites:
Sm (0.0000, 0.0000, 0.0000) (multiplicity 1)
Dy (0.0000, 0.5000, 0.1014) (multiplicity 4)
Dy (0.0000, 0.5000, 0.3007) (multiplicity 4)
Dy (0.0000, 0.5000, 0.5000) (multiplicity 2)
Dy (0.5000, 0.5000, 0.0000) (multiplicity 1)
Dy (0.5000, 0.5000, 0.2014) (multiplicity 2)
Dy (0.5000, 0.5000, 0.4004) (multiplicity 2)
Tm (0.0000, 0.0000, 0.2010) (multiplicity 2)
Tm (0.0000, 0.0000, 0.4004) (multiplicity 2)



(8)
The following is a calculated XRD peak list of CsScTiSe4. It was derived from a DFT-relaxed cell (GGA-PBE, Alexandria), using λ = 1.5418 Å (Cu Kα).

Most intense lines, 2θ from 10° to 90°, most intense first:
2theta, I (rel.), hkl
28.85, 100, 1 2 -1
30.36, 59, 1 1 -3
27.26, 37, 1 0 2
31.11, 37, 2 1 0
26.84, 34, 2 0 -1
18.89, 32, 1 1 -1
25.00, 28, 0 2 0
38.40, 27, 2 2 -2
31.61, 27, 0 2 2
47.49, 25, 1 3 -3

Structure:
abc: 6.6410 7.1246 9.8576
angles: 90.00 108.90 90.00
Space group P2_1/m (No. 11)
Unique sites:
Cs (0.2005, 0.2500, 0.4486) (multiplicity 2)
Sc (0.3413, 0.7500, 0.0420) (multiplicity 2)
Ti (0.1067, 0.2500, 0.8495) (multiplicity 2)
Se (0.0906, 0.2500, 0.0814) (multiplicity 2)
Se (0.2519, 0.7500, 0.3039) (multiplicity 2)
Se (0.3348, 0.5033, 0.8183) (multiplicity 4)



(9)
The following is a calculated XRD peak list of CsCd2AgF8. It was derived from a DFT-relaxed cell (GGA-PBE, Alexandria), using λ = 1.5418 Å (Cu Kα).

Most intense lines, 2θ from 10° to 90°, most intense first:
2theta, I (rel.), hkl
21.95, 100, 1 1 0
28.90, 73, 0 1 -2
23.86, 72, 1 -1 0
29.56, 51, 1 0 2
44.75, 43, 1 -2 2
33.82, 27, 2 0 0
55.73, 23, -1 1 4
46.11, 21, -2 1 2
42.55, 21, 1 2 2
42.65, 21, 1 2 -2

Structure:
abc: 5.3190 5.7121 7.3565
angles: 89.90 89.88 85.28
Space group P-1 (No. 2)
Unique sites:
Cs (0.0000, 0.0000, 0.0000) (multiplicity 1)
Cd (0.5000, 0.4999, 0.2591) (multiplicity 2)
Ag (0.0000, 0.0000, 0.5000) (multiplicity 1)
F (0.1452, 0.7707, 0.6818) (multiplicity 2)
F (0.1467, 0.7717, 0.3184) (multiplicity 2)
F (0.3533, 0.3066, 0.5005) (multiplicity 2)
F (0.4225, 0.2935, 0.0004) (multiplicity 2)



(10)
The following is a calculated XRD peak list of Ca2As4Pd5. It was derived from a DFT-relaxed cell (GGA-PBE, Alexandria), using λ = 1.5418 Å (Cu Kα).

Most intense lines, 2θ from 10° to 90°, most intense first:
2theta, I (rel.), hkl
39.41, 100, 2 0 4
43.43, 100, 2 2 4
17.51, 100, 0 2 0
35.57, 83, 1 3 3
18.76, 77, 1 1 1
42.86, 70, 0 4 4
36.12, 64, 2 2 0
47.65, 48, 0 0 8
42.96, 38, 1 3 5
64.08, 37, 2 6 0

Structure:
abc: 5.7099 10.1289 15.2674
angles: 90.00 90.00 90.00
Space group Fmmm (No. 69)
Unique sites:
Ca (0.0000, 0.0000, 0.1343) (multiplicity 8)
As (0.0000, 0.1568, 0.3735) (multiplicity 16)
Pd (0.0000, 0.0000, 0.5000) (multiplicity 4)
Pd (0.2500, 0.2500, 0.0000) (multiplicity 8)
Pd (0.2500, 0.2500, 0.2500) (multiplicity 8)



(11)
The following is a calculated XRD peak list of NaCa5Bi4. It was derived from a DFT-relaxed cell (GGA-PBE, Alexandria), using λ = 1.5418 Å (Cu Kα).

Most intense lines, 2θ from 10° to 90°, most intense first:
2theta, I (rel.), hkl
21.46, 100, 0 2 2
31.53, 78, 1 3 0
24.44, 61, 1 1 2
32.34, 52, 1 2 3
43.76, 52, 0 4 4
33.91, 46, 0 4 0
26.82, 41, 0 0 4
41.86, 37, 1 3 4
27.46, 35, 1 0 3
37.67, 32, 2 0 0

Structure:
abc: 4.7754 10.5828 13.2941
angles: 90.00 90.00 90.00
Space group Immm (No. 71)
Unique sites:
Na (0.0000, 0.0000, 0.0000) (multiplicity 2)
Ca (0.0000, 0.0000, 0.5000) (multiplicity 2)
Ca (0.0000, 0.3089, 0.3438) (multiplicity 8)
Bi (0.0000, 0.0000, 0.2441) (multiplicity 4)
Bi (0.0000, 0.2902, 0.0000) (multiplicity 4)



(12)
The following is a calculated XRD peak list of LiCuHSO5. It was derived from a DFT-relaxed cell (GGA-PBE, Alexandria), using λ = 1.5418 Å (Cu Kα).

Most intense lines, 2θ from 10° to 90°, most intense first:
2theta, I (rel.), hkl
11.45, 100, 0 0 1
22.36, 41, 1 0 1
30.53, 33, 1 0 2
28.81, 27, 1 0 -2
38.15, 26, 1 2 -1
19.33, 20, 0 1 1
26.40, 17, 1 1 -1
24.22, 13, 1 1 0
33.46, 12, 0 2 1
21.22, 12, 1 0 -1

Structure:
abc: 4.8079 5.7097 7.7405
angles: 90.00 93.32 90.00
Space group P2_1/m (No. 11)
Unique sites:
Li (0.2292, 0.2500, 0.3406) (multiplicity 2)
Cu (0.0000, 0.0000, 0.0000) (multiplicity 2)
H (0.2806, 0.7500, 0.8157) (multiplicity 2)
S (0.4110, 0.2500, 0.7383) (multiplicity 2)
O (0.0845, 0.7500, 0.8440) (multiplicity 2)
O (0.2136, 0.2500, 0.5876) (multiplicity 2)
O (0.2427, 0.2500, 0.9061) (multiplicity 2)
O (0.4183, 0.5353, 0.2480) (multiplicity 4)